1.
For Pa2Al3V, a structure optimized by DFT (PBE) gives the simulated powder XRD pattern in this record (CuKα).
Peak positions follow from Bragg's law for the DFT cell and can differ from measured ones.

Largest 10 diffraction maxima, low angle first, 2θ = 10–90°:
d 4.624, rel. 72.3
d 4.378, rel. 67.9
d 2.772, rel. 80.7
d 2.664, rel. 100.0
d 2.310, rel. 97.2
d 2.305, rel. 42.6
d 2.276, rel. 30.0
d 1.821, rel. 20.0
d 1.559, rel. 20.2
d 1.458, rel. 20.4

Atomic structure:
```
Pa2Al3V
1.0
4.621 -2.660 0.000
4.621 2.660 0.000
-3.082 0.000 4.624
Pa Al V
2 3 1
Cartesian
0.003 0.000 1.913
6.157 0.000 2.711
2.311 1.330 0.000
2.311 -1.330 0.000
4.621 0.000 0.000
3.080 0.000 2.312
```

---

2.
For PaAl7Zn5, a structure optimized by DFT (PBE) gives the simulated powder XRD pattern in this record (CuKα).
Peak positions follow from Bragg's law for the DFT cell and can differ from measured ones.

Largest 10 diffraction maxima, low angle first, 2θ = 10–90°:
d 6.450, rel. 76.6
d 4.528, rel. 44.1
d 3.221, rel. 100.0
d 3.207, rel. 34.2
d 2.635, rel. 27.3
d 2.291, rel. 31.8
d 2.279, rel. 43.4
d 2.272, rel. 79.3
d 2.263, rel. 96.8
d 1.604, rel. 23.3

Atomic structure:
```
PaAl7Zn5
1.0
-2.607 4.540 4.581
2.607 -4.540 4.581
2.607 4.540 -4.581
Pa Al Zn
1 7 5
Cartesian
0.000 0.000 0.000
2.607 1.926 0.059
0.000 3.196 0.074
0.000 0.000 3.295
0.000 0.000 5.981
0.000 5.885 0.074
0.000 4.540 2.686
0.000 2.614 4.640
1.300 2.290 -2.228
1.307 -2.250 2.353
2.607 0.000 1.998
1.300 6.790 -2.228
1.307 2.250 2.353
```

---

3.
For Pa2Al8Zn, a structure optimized by DFT (PBE) gives the simulated powder XRD pattern in this record (CuKα).
Peak positions follow from Bragg's law for the DFT cell and can differ from measured ones.

Largest 10 diffraction maxima, low angle first, 2θ = 10–90°:
d 4.354, rel. 100.0
d 3.747, rel. 25.6
d 3.079, rel. 33.5
d 2.840, rel. 61.5
d 2.700, rel. 31.8
d 2.379, rel. 88.6
d 2.177, rel. 41.4
d 1.947, rel. 24.3
d 1.728, rel. 29.4
d 1.292, rel. 28.4

Atomic structure:
```
Pa2Al8Zn
1.0
4.354 0.000 0.000
0.000 4.354 0.000
0.000 0.000 11.241
Pa Al Zn
2 8 1
Cartesian
0.000 0.000 2.108
0.000 0.000 9.132
0.000 2.177 0.000
0.000 2.177 4.180
0.000 2.177 7.060
2.177 0.000 0.000
2.177 0.000 4.180
2.177 0.000 7.060
2.177 2.177 2.142
2.177 2.177 9.099
0.000 0.000 5.620
```